# 1
Structure and simulated powder X-ray diffraction pattern of Li3TiBr6 (a crystal structure in Alexandria, relaxed with PBE; λ = 1.5418 Å (Cu Kα)).
Kinematic intensities with the Lorentz-polarization factor, no thermal factor.

Crystal structure
Cell: 6.709 7.267 12.117 Å, 90.00 121.24 90.00°
Fractional coordinates of all 20 atoms:
Li 0.000 0.000 0.000
Li 0.000 0.500 0.500
Li 0.141 0.107 0.663
Li 0.141 0.393 0.163
Li 0.859 0.607 0.837
Li 0.859 0.893 0.337
Ti 0.500 0.000 0.500
Ti 0.500 0.500 0.000
Br 0.130 0.058 0.267
Br 0.130 0.442 0.767
Br 0.236 0.686 0.062
Br 0.236 0.814 0.562
Br 0.403 0.207 0.078
Br 0.403 0.293 0.578
Br 0.597 0.707 0.422
Br 0.597 0.793 0.922
Br 0.764 0.186 0.438
Br 0.764 0.314 0.938
Br 0.870 0.558 0.233
Br 0.870 0.942 0.733

Main lines, by angle (2θ from 10° to 80°):
2theta	I_rel
25.99	31
28.59	56
29.37	100
29.58	52
30.04	33
31.18	29


# 2
Structure and simulated powder X-ray diffraction pattern of Li2TlBr (a crystal structure in Alexandria, relaxed with PBE; λ = 1.5418 Å (Cu Kα)).
Kinematic intensities with the Lorentz-polarization factor, no thermal factor.

Crystal structure
Cell: 3.387 3.387 7.743 Å, 90.00 90.00 90.00°
Fractional coordinates of all 4 atoms:
Li 0.000 0.000 0.210
Li 0.000 0.000 0.790
Tl 0.500 0.500 0.500
Br 0.500 0.500 0.000

Main lines, by angle (2θ from 10° to 80°):
2theta	I_rel
11.43	51
22.97	65
26.31	93
35.21	100
37.55	42
44.48	46


# 3
Structure and simulated powder X-ray diffraction pattern of Li3TlBr4 (a crystal structure in Alexandria, relaxed with PBE; λ = 1.5418 Å (Cu Kα)).
Kinematic intensities with the Lorentz-polarization factor, no thermal factor.

Crystal structure
Cell: 4.272 10.588 11.080 Å, 90.00 90.00 90.00°
Fractional coordinates of all 16 atoms:
Li 0.000 0.000 0.000
Li 0.000 0.500 0.500
Li 0.500 0.180 0.265
Li 0.500 0.320 0.765
Li 0.500 0.680 0.765
Li 0.500 0.820 0.265
Tl 0.000 0.000 0.624
Tl 0.000 0.500 0.124
Br 0.000 0.192 0.145
Br 0.000 0.308 0.645
Br 0.000 0.692 0.645
Br 0.000 0.808 0.145
Br 0.500 0.000 0.408
Br 0.500 0.000 0.870
Br 0.500 0.500 0.370
Br 0.500 0.500 0.908

Main lines, by angle (2θ from 10° to 80°):
2theta	I_rel
11.56	54
16.75	31
26.34	100
26.50	49
33.91	52
41.21	37


# 4
Structure and simulated powder X-ray diffraction pattern of LiTl3Br9 (a crystal structure in Alexandria, relaxed with PBE; λ = 1.5418 Å (Cu Kα)).
Kinematic intensities with the Lorentz-polarization factor, no thermal factor.

Crystal structure
Cell: 11.717 11.717 14.653 Å, 128.46 128.46 47.69°
Fractional coordinates of all 26 atoms:
Li 0.249 0.751 0.500
Li 0.751 0.249 0.000
Tl 0.108 0.276 0.657
Tl 0.276 0.108 0.157
Tl 0.554 0.657 0.842
Tl 0.657 0.554 0.342
Tl 0.804 0.893 0.450
Tl 0.893 0.804 0.950
Br 0.032 0.197 0.195
Br 0.140 0.743 0.144
Br 0.197 0.032 0.695
Br 0.245 0.915 0.925
Br 0.294 0.404 0.771
Br 0.296 0.613 0.612
Br 0.404 0.294 0.271
Br 0.423 0.759 0.459
Br 0.522 0.859 0.265
Br 0.611 0.946 0.979
Br 0.613 0.296 0.112
Br 0.743 0.140 0.644
Br 0.759 0.423 0.959
Br 0.812 0.955 0.828
Br 0.859 0.522 0.765
Br 0.915 0.245 0.425
Br 0.946 0.611 0.479
Br 0.955 0.812 0.328

Main lines, by angle (2θ from 10° to 80°):
2theta	I_rel
16.28	100
16.58	31
19.36	20
20.48	19
22.87	23
26.84	59


# 5
Structure and simulated powder X-ray diffraction pattern of LiYTl2Br6 (a crystal structure in Alexandria, relaxed with PBE; λ = 1.5418 Å (Cu Kα)).
Kinematic intensities with the Lorentz-polarization factor, no thermal factor.

Crystal structure
Cell: 7.592 7.888 13.186 Å, 90.00 124.84 90.00°
Fractional coordinates of all 20 atoms:
Li 0.000 0.000 0.000
Li 0.000 0.500 0.500
Y 0.500 0.000 0.500
Y 0.500 0.500 0.000
Tl 0.228 0.070 0.747
Tl 0.228 0.430 0.247
Tl 0.772 0.570 0.753
Tl 0.772 0.930 0.253
Br 0.159 0.203 0.457
Br 0.159 0.297 0.957
Br 0.258 0.705 0.458
Br 0.258 0.795 0.958
Br 0.332 0.014 0.247
Br 0.332 0.486 0.747
Br 0.668 0.514 0.253
Br 0.668 0.986 0.753
Br 0.742 0.205 0.042
Br 0.742 0.295 0.542
Br 0.841 0.703 0.043
Br 0.841 0.797 0.543

Main lines, by angle (2θ from 10° to 80°):
2theta	I_rel
23.12	84
28.00	100
28.65	55
32.74	89
33.11	70
37.13	61


# 6
Structure and simulated powder X-ray diffraction pattern of LiZrTlBr6 (a crystal structure in Alexandria, relaxed with PBE; λ = 1.5418 Å (Cu Kα)).
Kinematic intensities with the Lorentz-polarization factor, no thermal factor.

Crystal structure
Cell: 7.073 7.073 14.438 Å, 90.00 90.00 120.00°
Fractional coordinates of all 18 atoms:
Li 0.333 0.667 0.250
Li 0.667 0.333 0.750
Zr 0.333 0.667 0.750
Zr 0.667 0.333 0.250
Tl 0.000 0.000 0.000
Tl 0.000 0.000 0.500
Br 0.011 0.379 0.643
Br 0.011 0.633 0.857
Br 0.367 0.379 0.857
Br 0.367 0.989 0.643
Br 0.379 0.011 0.143
Br 0.379 0.367 0.357
Br 0.621 0.633 0.643
Br 0.621 0.989 0.857
Br 0.633 0.011 0.357
Br 0.633 0.621 0.143
Br 0.989 0.367 0.143
Br 0.989 0.621 0.357

Main lines, by angle (2θ from 10° to 80°):
2theta	I_rel
19.00	100
28.10	98
29.16	24
35.54	86
40.94	35
44.37	39


# 7
Structure and simulated powder X-ray diffraction pattern of Li3TmBr6 (a crystal structure in Alexandria, relaxed with PBE; λ = 1.5418 Å (Cu Kα)).
Kinematic intensities with the Lorentz-polarization factor, no thermal factor.

Crystal structure
Cell: 7.724 7.769 7.770 Å, 61.40 61.44 61.44°
Fractional coordinates of all 10 atoms:
Li 0.000 0.000 0.000
Li 0.000 0.500 0.500
Li 0.500 0.000 0.500
Tm 0.000 0.500 0.000
Br 0.230 0.768 0.770
Br 0.233 0.273 0.265
Br 0.243 0.250 0.750
Br 0.757 0.750 0.250
Br 0.767 0.727 0.735
Br 0.770 0.232 0.230

Main lines, by angle (2θ from 10° to 80°):
2theta	I_rel
13.75	43
16.00	100
32.24	22
32.36	49
35.90	21
36.52	17


# 8
Structure and simulated powder X-ray diffraction pattern of LiTmBr4 (a crystal structure in Alexandria, relaxed with PBE; λ = 1.5418 Å (Cu Kα)).
Kinematic intensities with the Lorentz-polarization factor, no thermal factor.

Crystal structure
Cell: 6.976 4.043 6.976 Å, 90.00 94.45 90.00°
Fractional coordinates of all 6 atoms:
Li 0.000 0.000 0.000
Tm 0.000 0.500 0.500
Br 0.209 0.500 0.185
Br 0.232 0.000 0.674
Br 0.768 0.000 0.326
Br 0.791 0.500 0.815

Main lines, by angle (2θ from 10° to 80°):
2theta	I_rel
12.73	100
27.78	30
29.03	66
37.18	34
45.08	26
46.13	32